1.
Ho5In2: theoretical XRD peak list (λ = 1.5418 Å (Cu Kα)), based on a structure optimized by DFT (PBE).
Lines closer than 0.1° are merged.

Most intense lines, 10° ≤ 2θ ≤ 90°, sorted by position:
| two_theta | Rel. int. |
| --- | --- |
| 29.8 | 23 |
| 30.8 | 26 |
| 31.5 | 81 |
| 34.6 | 100 |
| 35.5 | 39 |
| 61.6 | 37 |

Crystal structure
abc: 21.063 21.063 5.189
angles: 90.00 90.00 169.92
Atoms (fractional coordinates):
Ho 0.025 0.975 0.750
Ho 0.119 0.881 0.250
Ho 0.239 0.761 0.750
Ho 0.332 0.668 0.250
Ho 0.453 0.547 0.750
Ho 0.547 0.453 0.250
Ho 0.668 0.332 0.750
Ho 0.761 0.239 0.250
Ho 0.881 0.119 0.750
Ho 0.975 0.025 0.250
In 0.194 0.806 0.250
In 0.407 0.593 0.250
In 0.593 0.407 0.750
In 0.806 0.194 0.750

***

2.
HoIn5: theoretical XRD peak list (λ = 1.5418 Å (Cu Kα)), based on a structure optimized by DFT (PBE).
Lines closer than 0.1° are merged.

Most intense lines, 10° ≤ 2θ ≤ 90°, sorted by position:
| two_theta | Rel. int. |
| --- | --- |
| 33.2 | 100 |
| 36.9 | 19 |
| 39.0 | 16 |
| 39.4 | 16 |
| 64.2 | 14 |
| 67.0 | 13 |

Crystal structure
abc: 4.616 14.601 4.570
angles: 90.00 90.00 90.00
Atoms (fractional coordinates):
Ho 0.000 0.000 0.000
Ho 0.500 0.500 0.000
In 0.000 0.168 0.500
In 0.000 0.336 0.000
In 0.000 0.500 0.500
In 0.000 0.664 0.000
In 0.000 0.832 0.500
In 0.500 0.000 0.500
In 0.500 0.164 0.000
In 0.500 0.332 0.500
In 0.500 0.668 0.500
In 0.500 0.836 0.000

***

3.
Ho4In: theoretical XRD peak list (λ = 1.5418 Å (Cu Kα)), based on a structure optimized by DFT (PBE).
Lines closer than 0.1° are merged.

Most intense lines, 10° ≤ 2θ ≤ 90°, sorted by position:
| two_theta | Rel. int. |
| --- | --- |
| 32.1 | 84 |
| 32.4 | 100 |
| 34.5 | 79 |
| 42.7 | 17 |
| 49.6 | 26 |
| 64.8 | 27 |

Crystal structure
abc: 9.201 9.201 9.201
angles: 147.17 137.06 55.09
Atoms (fractional coordinates):
Ho 0.000 0.000 0.000
Ho 0.145 0.395 0.750
Ho 0.203 0.197 0.006
Ho 0.309 0.803 0.506
Ho 0.500 0.000 0.500
Ho 0.691 0.197 0.494
Ho 0.797 0.803 0.994
Ho 0.855 0.605 0.250
In 0.361 0.611 0.750
In 0.639 0.389 0.250

***

4.
Ho4In3: theoretical XRD peak list (λ = 1.5418 Å (Cu Kα)), based on a structure optimized by DFT (PBE).
Lines closer than 0.1° are merged.

Most intense lines, 10° ≤ 2θ ≤ 90°, sorted by position:
| two_theta | Rel. int. |
| --- | --- |
| 33.4 | 100 |
| 33.5 | 100 |
| 48.1 | 33 |
| 59.7 | 15 |
| 59.9 | 48 |
| 80.3 | 12 |

Crystal structure
abc: 8.452 8.452 8.452
angles: 113.53 113.53 113.53
Atoms (fractional coordinates):
Ho 0.000 0.000 0.000
Ho 0.071 0.622 0.768
Ho 0.232 0.929 0.378
Ho 0.378 0.232 0.929
Ho 0.500 0.500 0.500
Ho 0.622 0.768 0.071
Ho 0.768 0.071 0.622
Ho 0.929 0.378 0.232
In 0.125 0.254 0.528
In 0.254 0.528 0.125
In 0.472 0.875 0.746
In 0.528 0.125 0.254
In 0.746 0.472 0.875
In 0.875 0.746 0.472

***

5.
Ho4In3Ir: theoretical XRD peak list (λ = 1.5418 Å (Cu Kα)), based on a structure optimized by DFT (PBE).
Lines closer than 0.1° are merged.

Most intense lines, 10° ≤ 2θ ≤ 90°, sorted by position:
| two_theta | Rel. int. |
| --- | --- |
| 34.0 | 100 |
| 36.1 | 48 |
| 52.0 | 17 |
| 59.4 | 14 |
| 63.6 | 32 |
| 76.6 | 9 |

Crystal structure
abc: 3.517 3.517 15.943
angles: 90.00 90.00 90.00
Atoms (fractional coordinates):
Ho 0.000 0.000 0.101
Ho 0.000 0.000 0.368
Ho 0.000 0.000 0.632
Ho 0.000 0.000 0.899
In 0.500 0.500 0.239
In 0.500 0.500 0.500
In 0.500 0.500 0.761
Ir 0.500 0.500 0.000

***

6.
Ho2InIr2: theoretical XRD peak list (λ = 1.5418 Å (Cu Kα)), based on a structure optimized by DFT (PBE).
Lines closer than 0.1° are merged.

Most intense lines, 10° ≤ 2θ ≤ 90°, sorted by position:
| two_theta | Rel. int. |
| --- | --- |
| 33.6 | 61 |
| 34.9 | 54 |
| 36.8 | 100 |
| 37.0 | 86 |
| 37.9 | 70 |
| 41.3 | 75 |

Crystal structure
abc: 5.779 5.779 8.191
angles: 105.58 105.58 56.28
Atoms (fractional coordinates):
Ho 0.014 0.694 0.852
Ho 0.306 0.986 0.648
Ho 0.694 0.014 0.352
Ho 0.986 0.306 0.148
In 0.340 0.660 0.250
In 0.660 0.340 0.750
Ir 0.204 0.513 0.487
Ir 0.487 0.796 0.013
Ir 0.513 0.204 0.987
Ir 0.796 0.487 0.513